Li2Fe4OF8: calculated powder X-ray diffraction pattern (Cu Kα (weighted mean of Kα1 and Kα2)), based on a crystal structure in the Materials Project, relaxed with GGA+U.
Lines closer than 0.1° are merged.

Cell and atoms:
```
Li2Fe4OF8
1.0
4.691 -2.636 0.000
4.691 2.636 0.000
-0.322 0.000 14.348
Li Fe O F
4 8 2 16
direct
0.001 0.999 0.500
0.010 0.978 0.793
0.978 0.010 0.293
0.999 0.001 0.000
0.308 0.346 0.836
0.329 0.347 0.639
0.346 0.308 0.336
0.347 0.329 0.139
0.659 0.691 0.180
0.664 0.672 0.968
0.672 0.664 0.468
0.691 0.659 0.680
0.046 0.618 0.735
0.618 0.046 0.235
0.013 0.328 0.239
0.020 0.663 0.409
0.295 0.702 0.906
0.301 0.988 0.407
0.316 0.657 0.238
0.328 0.013 0.739
0.352 0.974 0.065
0.379 0.673 0.571
0.654 0.991 0.568
0.657 0.316 0.738
0.663 0.020 0.909
0.673 0.379 0.071
0.702 0.295 0.406
0.974 0.352 0.565
0.988 0.301 0.907
0.991 0.654 0.068
```

The 8 most intense peaks (2θ = 15–90°), low angle first:
Position (°2θ)  I_rel
18.9  59
19.3  100
23.1  49
31.5  96
31.8  69
33.3  65
51.6  83
60.4  50